1.
Structure and computed XRD peak list of Tl2Ir9 (DFT lattice parameters and positions (GGA-PBE); a wavelength of 1.5418 Å).
Intensities are scaled so that the largest is 100.

Cell and atoms:
```
Tl2Ir9
1.0
2.8052 0.0000 0.0000
-1.4026 2.4294 0.0000
0.0000 0.0000 33.8335
Tl Ir
2 9
Direct
0.3333 0.6667 0.3389 Tl
0.6667 0.3333 0.6611 Tl
0.0000 0.0000 0.0000 Ir
0.0000 0.0000 0.1954 Ir
0.0000 0.0000 0.8046 Ir
0.3333 0.6667 0.1303 Ir
0.3333 0.6667 0.7404 Ir
0.3333 0.6667 0.9348 Ir
0.6667 0.3333 0.0652 Ir
0.6667 0.3333 0.2596 Ir
0.6667 0.3333 0.8697 Ir
```

Principal peaks in the range 2θ from 10° to 90°, in order of rising 2θ:
- 39.41 deg, 2.287 Å, I 100
- 39.97 deg, 2.256 Å, I 27
- 40.43 deg, 2.231 Å, I 14
- 45.99 deg, 1.973 Å, I 60
- 47.70 deg, 1.906 Å, I 11
- 66.69 deg, 1.402 Å, I 26
- 67.46 deg, 1.388 Å, I 16
- 80.30 deg, 1.196 Å, I 13
- 80.67 deg, 1.191 Å, I 21
- 84.80 deg, 1.143 Å, I 11



2.
Structure and computed XRD peak list of TlIr10 (DFT lattice parameters and positions (GGA-PBE); a wavelength of 1.5418 Å).
Intensities are scaled so that the largest is 100.

Cell and atoms:
```
TlIr10
1.0
4.3102 -1.9317 0.0000
4.3102 1.9317 0.0000
-0.0125 0.0000 32.7844
Tl Ir
2 20
Direct
0.1470 0.1470 0.2078 Tl
0.8530 0.8530 0.7922 Tl
0.0490 0.0490 0.6717 Ir
0.0503 0.0503 0.4075 Ir
0.1499 0.1499 0.4869 Ir
0.1502 0.1502 0.7494 Ir
0.2503 0.2503 0.5662 Ir
0.2506 0.2506 0.3005 Ir
0.3475 0.3475 0.6454 Ir
0.3515 0.3515 0.3809 Ir
0.4498 0.4498 0.4602 Ir
0.4516 0.4516 0.7235 Ir
0.5484 0.5484 0.2765 Ir
0.5502 0.5502 0.5398 Ir
0.6485 0.6485 0.6191 Ir
0.6525 0.6525 0.3546 Ir
0.7494 0.7494 0.6995 Ir
0.7497 0.7497 0.4338 Ir
0.8498 0.8498 0.2506 Ir
0.8501 0.8501 0.5131 Ir
0.9497 0.9497 0.5925 Ir
0.9510 0.9510 0.3283 Ir
```

Principal peaks in the range 2θ from 10° to 90°, in order of rising 2θ:
- 39.60 deg, 2.276 Å, I 100
- 39.96 deg, 2.256 Å, I 56
- 40.65 deg, 2.220 Å, I 97
- 41.83 deg, 2.159 Å, I 46
- 46.39 deg, 1.957 Å, I 27
- 46.58 deg, 1.950 Å, I 33
- 47.07 deg, 1.931 Å, I 54
- 68.23 deg, 1.375 Å, I 26
- 69.25 deg, 1.357 Å, I 24
- 83.03 deg, 1.163 Å, I 34



3.
Structure and computed XRD peak list of TlIr15 (DFT lattice parameters and positions (GGA-PBE); a wavelength of 1.5418 Å).
Intensities are scaled so that the largest is 100.

Cell and atoms:
```
TlIr15
1.0
3.8648 0.0000 0.0000
0.0000 3.8646 0.0000
0.0000 0.0000 44.5233
Tl Ir
2 30
Direct
0.2500 0.0000 0.1559 Tl
0.7500 0.0000 0.8441 Tl
0.2500 0.0000 0.2601 Ir
0.2500 0.0000 0.3477 Ir
0.2500 0.0000 0.4347 Ir
0.2500 0.0000 0.5218 Ir
0.2500 0.0000 0.6088 Ir
0.2500 0.0000 0.6960 Ir
0.2500 0.0000 0.7826 Ir
0.2500 0.5000 0.2174 Ir
0.2500 0.5000 0.3040 Ir
0.2500 0.5000 0.3912 Ir
0.2500 0.5000 0.4783 Ir
0.2500 0.5000 0.5652 Ir
0.2500 0.5000 0.6524 Ir
0.2500 0.5000 0.7396 Ir
0.2500 0.5000 0.8243 Ir
0.7500 0.0000 0.2174 Ir
0.7500 0.0000 0.3040 Ir
0.7500 0.0000 0.3912 Ir
0.7500 0.0000 0.4782 Ir
0.7500 0.0000 0.5653 Ir
0.7500 0.0000 0.6523 Ir
0.7500 0.0000 0.7399 Ir
0.7500 0.5000 0.1757 Ir
0.7500 0.5000 0.2604 Ir
0.7500 0.5000 0.3476 Ir
0.7500 0.5000 0.4348 Ir
0.7500 0.5000 0.5217 Ir
0.7500 0.5000 0.6088 Ir
0.7500 0.5000 0.6960 Ir
0.7500 0.5000 0.7826 Ir
```

Principal peaks in the range 2θ from 10° to 90°, in order of rising 2θ:
- 39.80 deg, 2.265 Å, I 100
- 41.02 deg, 2.200 Å, I 69
- 47.00 deg, 1.933 Å, I 61
- 47.07 deg, 1.930 Å, I 12
- 68.65 deg, 1.367 Å, I 37
- 81.51 deg, 1.181 Å, I 9
- 82.44 deg, 1.170 Å, I 26
- 83.23 deg, 1.161 Å, I 19
- 83.90 deg, 1.153 Å, I 11
- 87.36 deg, 1.116 Å, I 12



4.
Structure and computed XRD peak list of Y2Tm2Ir5 (DFT lattice parameters and positions (GGA-PBE); a wavelength of 1.5418 Å).
Intensities are scaled so that the largest is 100.

Cell and atoms:
```
Y2Tm2Ir5
1.0
2.0645 1.1920 14.5616
-2.0645 1.1920 14.5616
0.0000 -2.3839 14.5616
Y Tm Ir
2 2 5
Direct
0.0000 0.0000 0.0000 Y
0.2087 0.2087 0.2087 Y
0.6063 0.6063 0.6063 Tm
0.7749 0.7749 0.7749 Tm
0.0615 0.0615 0.0615 Ir
0.4890 0.4890 0.4890 Ir
0.7108 0.7108 0.7108 Ir
0.8368 0.8368 0.8368 Ir
0.9111 0.9111 0.9111 Ir
```

Principal peaks in the range 2θ from 10° to 90°, in order of rising 2θ:
- 18.28 deg, 4.854 Å, I 38
- 24.98 deg, 3.564 Å, I 70
- 28.77 deg, 3.103 Å, I 36
- 32.35 deg, 2.767 Å, I 27
- 36.70 deg, 2.449 Å, I 27
- 38.28 deg, 2.351 Å, I 71
- 43.36 deg, 2.087 Å, I 32
- 43.85 deg, 2.065 Å, I 100
- 47.88 deg, 1.900 Å, I 20
- 58.71 deg, 1.573 Å, I 22



5.
Structure and computed XRD peak list of YTmZnIr2 (DFT lattice parameters and positions (GGA-PBE); a wavelength of 1.5418 Å).
Intensities are scaled so that the largest is 100.

Cell and atoms:
```
YTmZnIr2
1.0
4.1530 0.0000 0.0000
0.0000 5.8033 0.0000
0.0000 0.0000 8.2795
Y Tm Zn Ir
2 2 2 4
Direct
0.0000 0.0000 0.0000 Y
0.5000 0.5000 0.5000 Y
0.0000 0.0000 0.5926 Tm
0.5000 0.5000 0.0926 Tm
0.0000 0.5000 0.7971 Zn
0.5000 0.0000 0.2971 Zn
0.0000 0.2711 0.2960 Ir
0.0000 0.7289 0.2960 Ir
0.5000 0.2289 0.7960 Ir
0.5000 0.7711 0.7960 Ir
```

Principal peaks in the range 2θ from 10° to 90°, in order of rising 2θ:
- 21.47 deg, 4.140 Å, I 25
- 23.97 deg, 3.712 Å, I 39
- 34.27 deg, 2.617 Å, I 64
- 37.86 deg, 2.376 Å, I 55
- 39.19 deg, 2.299 Å, I 49
- 39.42 deg, 2.286 Å, I 100
- 43.59 deg, 2.077 Å, I 35
- 43.73 deg, 2.070 Å, I 22
- 59.08 deg, 1.564 Å, I 31
- 69.12 deg, 1.359 Å, I 34



6.
Structure and computed XRD peak list of IrW (DFT lattice parameters and positions (GGA-PBE); a wavelength of 1.5418 Å).
Intensities are scaled so that the largest is 100.

Cell and atoms:
```
IrW
1.0
4.4813 0.0000 0.0000
0.0000 2.7849 0.0000
0.0000 0.0000 4.8629
Ir W
2 2
Direct
0.2500 0.0000 0.1755 Ir
0.7500 0.0000 0.8245 Ir
0.2500 0.5000 0.6711 W
0.7500 0.5000 0.3289 W
```

Principal peaks in the range 2θ from 10° to 90°, in order of rising 2θ:
- 36.97 deg, 2.431 Å, I 15
- 37.20 deg, 2.417 Å, I 20
- 40.25 deg, 2.241 Å, I 37
- 42.29 deg, 2.137 Å, I 43
- 42.50 deg, 2.127 Å, I 100
- 55.96 deg, 1.643 Å, I 12
- 66.77 deg, 1.401 Å, I 17
- 74.71 deg, 1.271 Å, I 19
- 80.93 deg, 1.188 Å, I 20
- 82.72 deg, 1.167 Å, I 13



7.
Structure and computed XRD peak list of Zr3Ir2W2 (DFT lattice parameters and positions (GGA-PBE); a wavelength of 1.5418 Å).
Intensities are scaled so that the largest is 100.

Cell and atoms:
```
Zr3Ir2W2
1.0
2.2925 1.3235 7.4512
-2.2925 1.3235 7.4512
0.0000 -2.6471 7.4512
Zr Ir W
3 2 2
Direct
0.0000 0.0000 0.0000 Zr
0.2470 0.2470 0.2470 Zr
0.7516 0.7516 0.7516 Zr
0.3761 0.3761 0.3761 Ir
0.8695 0.8695 0.8695 Ir
0.1289 0.1289 0.1289 W
0.6198 0.6198 0.6198 W
```

Principal peaks in the range 2θ from 10° to 90°, in order of rising 2θ:
- 27.56 deg, 3.237 Å, I 50
- 39.30 deg, 2.292 Å, I 100
- 39.43 deg, 2.285 Å, I 96
- 48.67 deg, 1.871 Å, I 11
- 56.89 deg, 1.618 Å, I 33
- 64.27 deg, 1.449 Å, I 10
- 71.31 deg, 1.323 Å, I 51
- 71.60 deg, 1.318 Å, I 15
- 84.53 deg, 1.146 Å, I 11
- 84.87 deg, 1.143 Å, I 10